LiMnVP2H2O10: calculated powder X-ray diffraction pattern (copper Kα), based on a PBE+U-relaxed structure.

Most intense lines, 15 to 90 degrees two-theta, by intensity:
(hkl)  d (Å)  Position (°2θ)  intensity
1 1 2  3.431  25.97  100
1 2 1  3.285  27.15  98
-2 1 1  2.995  29.83  73
1 -1 0  4.699  18.88  56
1 0 -1  4.946  17.94  49
1 0 1  4.900  18.11  46
0 0 2  3.577  24.90  37
1 1 -2  2.514  35.72  35
0 1 -1  4.053  21.93  30
0 3 1  2.449  36.69  28
0 2 0  3.326  26.80  28
0 1 3  2.651  33.81  26

Cell and atoms:
a b c (Å): 6.786 7.432 7.990
angles (deg): 63.54 89.98 88.89
Space group P-1 (No. 2)
Inequivalent atoms, fractional coordinates:
1 Li 0.173 0.383 0.262 [2 per cell]
2 Mn 0.000 0.000 0.500 [1 per cell]
3 Mn 0.500 0.500 0.000 [1 per cell]
4 V 0.255 0.250 0.750 [2 per cell]
5 P 0.100 0.777 0.954 [2 per cell]
6 P 0.400 0.725 0.549 [2 per cell]
7 H 0.035 0.681 0.475 [2 per cell]
8 H 0.484 0.834 0.003 [2 per cell]
9 O 0.008 0.291 0.853 [2 per cell]
10 O 0.044 0.179 0.205 [2 per cell]
11 O 0.088 0.238 0.540 [2 per cell]
12 O 0.231 0.588 0.990 [2 per cell]
13 O 0.237 0.956 0.919 [2 per cell]
14 O 0.261 0.547 0.577 [2 per cell]
15 O 0.269 0.906 0.528 [2 per cell]
16 O 0.410 0.271 0.945 [2 per cell]
17 O 0.453 0.334 0.291 [2 per cell]
18 O 0.486 0.213 0.638 [2 per cell]